(1)
For Cs2ScInS4, a GGA-PBE-relaxed structure gives the simulated powder diffractogram in this record (CuKα).
Intensities are scaled so that the largest is 100.

Top 10 peaks for 2θ = 10–90°, sorted by position:
2θ/deg  d_spacing  Rel. int.
25.34  3.515  49.1
25.94  3.435  45.2
29.43  3.035  52.3
29.82  2.996  100.0
41.91  2.156  17.2
42.40  2.132  68.5
49.95  1.826  20.5
50.96  1.792  18.4
52.04  1.757  16.8
69.43  1.354  16.8

Structural model:
a = 8.3317 Å, b = 8.6222 Å, c = 12.1390 Å
α = 90.00°, β = 90.00°, γ = 90.00°
Space group Imma (No. 74)
Unique sites:
Cs (0.0000, 0.0000, 0.0000) (multiplicity 4)
Cs (0.2500, 0.2500, 0.2500) (multiplicity 4)
Sc (0.2500, 0.2500, 0.7500) (multiplicity 4)
In (0.0000, 0.0000, 0.5000) (multiplicity 4)
S (0.0000, 0.0525, 0.7306) (multiplicity 8)
S (0.2055, 0.2500, 0.5261) (multiplicity 8)

***

(2)
For Cs2InTeS4, a GGA-PBE-relaxed structure gives the simulated powder diffractogram in this record (CuKα).
Intensities are scaled so that the largest is 100.

Top 10 peaks for 2θ = 10–90°, sorted by position:
2θ/deg  d_spacing  Rel. int.
22.13  4.017  52.0
26.21  3.399  100.0
31.50  2.840  35.1
41.43  2.180  61.3
48.53  1.876  21.5
50.83  1.796  18.1
52.96  1.729  12.3
53.94  1.700  12.2
62.93  1.477  15.8
68.40  1.371  18.8

Structural model:
a = 8.0330 Å, b = 8.0330 Å, c = 8.4867 Å
α = 90.00°, β = 90.00°, γ = 90.00°
Space group I-4 (No. 82)
Unique sites:
Cs (0.0000, 0.0000, 0.0000) (multiplicity 2)
Cs (0.0000, 0.5000, 0.2500) (multiplicity 2)
In (0.0000, 0.5000, 0.7500) (multiplicity 2)
Te (0.0000, 0.0000, 0.5000) (multiplicity 2)
S (0.1474, 0.2827, 0.5884) (multiplicity 8)

***

(3)
For Cs5InSb2, a GGA-PBE-relaxed structure gives the simulated powder diffractogram in this record (CuKα).
Intensities are scaled so that the largest is 100.

Top 10 peaks for 2θ = 10–90°, sorted by position:
2θ/deg  d_spacing  Rel. int.
24.30  3.663  48.3
26.45  3.370  26.3
26.91  3.313  100.0
31.04  2.881  16.0
36.57  2.457  16.4
45.98  1.974  17.0
47.25  1.924  10.5
47.54  1.913  23.8
55.48  1.656  16.9
75.99  1.252  11.1

Structural model:
a = 6.6266 Å, b = 6.6266 Å, c = 33.3092 Å
α = 90.00°, β = 90.00°, γ = 120.00°
Space group R-3m (No. 166, hexagonal axes)
Unique sites:
Cs (0.0000, 0.0000, 0.0000) (multiplicity 3)
Cs (0.0000, 0.0000, 0.1274) (multiplicity 6)
Cs (0.0000, 0.0000, 0.2793) (multiplicity 6)
In (0.0000, 0.0000, 0.5000) (multiplicity 3)
Sb (0.0000, 0.0000, 0.4083) (multiplicity 6)

***

(4)
For Cs3InSb, a GGA-PBE-relaxed structure gives the simulated powder diffractogram in this record (CuKα).
Intensities are scaled so that the largest is 100.

Top 10 peaks for 2θ = 10–90°, sorted by position:
2θ/deg  d_spacing  Rel. int.
22.16  4.011  51.9
23.09  3.852  100.0
23.56  3.776  24.8
24.59  3.621  34.0
26.76  3.332  26.6
27.99  3.188  20.8
29.15  3.064  31.3
30.54  2.927  25.6
38.49  2.339  20.9
46.15  1.967  22.5

Structural model:
a = 12.2545 Å, b = 9.9048 Å, c = 10.6134 Å
α = 90.00°, β = 90.00°, γ = 90.00°
Space group Ima2 (No. 46)
Unique sites:
Cs (0.0338, 0.2258, 0.0000) (multiplicity 8)
Cs (0.2500, 0.5779, 0.7865) (multiplicity 4)
In (0.2500, 0.5054, 0.1705) (multiplicity 4)
Sb (0.2500, 0.5552, 0.4264) (multiplicity 4)

***

(5)
For Cs2In2Sb2Se, a GGA-PBE-relaxed structure gives the simulated powder diffractogram in this record (CuKα).
Intensities are scaled so that the largest is 100.

Top 10 peaks for 2θ = 10–90°, sorted by position:
2θ/deg  d_spacing  Rel. int.
12.47  7.097  37.3
24.08  3.696  32.2
24.60  3.619  37.8
25.46  3.498  78.0
27.71  3.219  42.4
29.72  3.006  100.0
30.75  2.908  27.8
38.20  2.356  40.9
40.51  2.227  38.4
49.31  1.848  43.4

Structural model:
a = 4.7126 Å, b = 7.4167 Å, c = 9.1635 Å
α = 106.26°, β = 104.89°, γ = 90.13°
Space group P-1 (No. 2)
Unique sites:
Cs (0.1251, 0.3044, 0.2475) (multiplicity 2)
In (0.4004, 0.2224, 0.8020) (multiplicity 2)
Sb (0.2234, 0.8687, 0.4459) (multiplicity 2)
Se (0.5000, 0.0000, 0.0000) (multiplicity 1)

***

(6)
For Cs2In2Sb2Te, a GGA-PBE-relaxed structure gives the simulated powder diffractogram in this record (CuKα).
Intensities are scaled so that the largest is 100.

Top 10 peaks for 2θ = 10–90°, sorted by position:
2θ/deg  d_spacing  Rel. int.
12.30  7.195  59.9
23.33  3.813  60.2
25.01  3.561  69.2
27.85  3.203  55.7
28.39  3.143  100.0
30.39  2.942  37.2
35.76  2.511  39.4
37.11  2.422  61.8
39.16  2.300  56.2
49.20  1.852  40.5

Structural model:
a = 4.8445 Å, b = 7.4107 Å, c = 9.5262 Å
α = 103.41°, β = 104.66°, γ = 90.01°
Space group P-1 (No. 2)
Unique sites:
Cs (0.1268, 0.3133, 0.2542) (multiplicity 2)
In (0.3835, 0.2151, 0.7704) (multiplicity 2)
Sb (0.2297, 0.8745, 0.4580) (multiplicity 2)
Te (0.5000, 0.0000, 0.0000) (multiplicity 1)

***

(7)
For CsZnInSb2, a GGA-PBE-relaxed structure gives the simulated powder diffractogram in this record (CuKα).
Intensities are scaled so that the largest is 100.

Top 10 peaks for 2θ = 10–90°, sorted by position:
2θ/deg  d_spacing  Rel. int.
22.00  4.041  45.0
24.34  3.656  76.7
26.49  3.365  100.0
30.99  2.886  79.1
31.87  2.808  46.8
32.66  2.742  59.8
38.78  2.322  56.6
40.19  2.244  35.8
41.94  2.154  39.5
47.04  1.932  62.7

Structural model:
a = 14.7934 Å, b = 4.6440 Å, c = 11.1028 Å
α = 90.00°, β = 98.74°, γ = 90.00°
Space group C2/m (No. 12)
Unique sites:
Cs (0.1589, 0.0000, 0.1737) (multiplicity 4)
Zn (0.1707, 0.0000, 0.5839) (multiplicity 4)
In (0.0426, 0.5000, 0.6821) (multiplicity 4)
Sb (0.1209, 0.0000, 0.8128) (multiplicity 4)
Sb (0.1409, 0.5000, 0.4499) (multiplicity 4)

***

(8)
For CsIn4Se7, a GGA-PBE-relaxed structure gives the simulated powder diffractogram in this record (CuKα).
Intensities are scaled so that the largest is 100.

Top 10 peaks for 2θ = 10–90°, sorted by position:
2θ/deg  d_spacing  Rel. int.
21.15  4.201  37.3
24.86  3.582  76.5
25.35  3.513  70.8
26.43  3.372  100.0
28.21  3.163  68.1
28.62  3.119  40.3
43.47  2.082  39.2
44.38  2.041  73.9
47.77  1.904  78.1
52.40  1.746  53.4

Structural model:
a = 16.6542 Å, b = 7.0263 Å, c = 6.7433 Å
α = 90.00°, β = 90.00°, γ = 90.00°
Space group Pmn2_1 (No. 31)
Unique sites:
Cs (0.0000, 0.1823, 0.0000) (multiplicity 2)
In (0.1200, 0.6685, 0.6217) (multiplicity 4)
In (0.2496, 0.1837, 0.6037) (multiplicity 4)
Se (0.0000, 0.8621, 0.4694) (multiplicity 2)
Se (0.1109, 0.6824, 0.0091) (multiplicity 4)
Se (0.1118, 0.3174, 0.4941) (multiplicity 4)
Se (0.2406, 0.1842, 0.0031) (multiplicity 4)

***

(9)
For Cs6InSe4, a GGA-PBE-relaxed structure gives the simulated powder diffractogram in this record (CuKα).
Intensities are scaled so that the largest is 100.

Top 10 peaks for 2θ = 10–90°, sorted by position:
2θ/deg  d_spacing  Rel. int.
22.07  4.028  23.8
25.82  3.450  89.1
27.06  3.296  100.0
28.84  3.096  37.8
31.25  2.863  89.8
31.76  2.817  24.3
35.51  2.528  18.4
44.82  2.022  18.8
46.94  1.936  23.9
50.74  1.799  25.2

Structural model:
a = 11.4550 Å, b = 11.4550 Å, c = 8.8155 Å
α = 90.00°, β = 90.00°, γ = 120.00°
Space group P6_3mc (No. 186)
Unique sites:
Cs (0.0599, 0.5299, 0.0000) (multiplicity 6)
Cs (0.1452, 0.2904, 0.3237) (multiplicity 6)
In (0.3333, 0.6667, 0.6162) (multiplicity 2)
Se (0.1982, 0.3964, 0.7132) (multiplicity 6)
Se (0.3333, 0.6667, 0.2968) (multiplicity 2)

***

(10)
For CsYInSe, a GGA-PBE-relaxed structure gives the simulated powder diffractogram in this record (CuKα).
Intensities are scaled so that the largest is 100.

Top 10 peaks for 2θ = 10–90°, sorted by position:
2θ/deg  d_spacing  Rel. int.
25.26  3.526  15.1
26.83  3.323  73.3
31.08  2.878  100.0
37.20  2.417  15.9
44.52  2.035  52.3
52.76  1.735  37.2
55.28  1.662  19.8
71.43  1.321  12.2
73.58  1.287  18.4
88.22  1.108  13.6

Structural model:
a = 4.0717 Å, b = 4.0717 Å, c = 9.9580 Å
α = 90.00°, β = 90.00°, γ = 120.00°
Space group P3m1 (No. 156)
Unique sites:
Cs (0.0000, 0.0000, 0.0000) (multiplicity 1)
Y (0.0000, 0.0000, 0.5643) (multiplicity 1)
In (0.3333, 0.6667, 0.3276) (multiplicity 1)
Se (0.6667, 0.3333, 0.7253) (multiplicity 1)

***

(11)
For CsYInSe, a GGA-PBE-relaxed structure gives the simulated powder diffractogram in this record (CuKα).
Intensities are scaled so that the largest is 100.

Top 10 peaks for 2θ = 10–90°, sorted by position:
2θ/deg  d_spacing  Rel. int.
25.07  3.552  26.7
30.96  2.889  100.0
31.20  2.866  13.6
32.47  2.758  66.0
45.65  1.987  18.7
46.58  1.950  23.6
48.35  1.883  12.6
56.98  1.616  34.1
57.13  1.612  9.5
77.38  1.233  10.4

Structural model:
a = 3.8998 Å, b = 3.8998 Å, c = 8.5990 Å
α = 90.00°, β = 90.00°, γ = 90.00°
Space group P4mm (No. 99)
Unique sites:
Cs (0.0000, 0.0000, 0.0000) (multiplicity 1)
Y (0.0000, 0.0000, 0.4757) (multiplicity 1)
In (0.5000, 0.5000, 0.6994) (multiplicity 1)
Se (0.5000, 0.5000, 0.3449) (multiplicity 1)

***

(12)
For Cs2InSi, a GGA-PBE-relaxed structure gives the simulated powder diffractogram in this record (CuKα).
Intensities are scaled so that the largest is 100.

Top 10 peaks for 2θ = 10–90°, sorted by position:
2θ/deg  d_spacing  Rel. int.
17.28  5.132  9.9
19.98  4.445  9.1
28.40  3.143  100.0
33.43  2.680  6.1
40.59  2.222  18.7
50.28  1.815  39.8
58.76  1.571  12.4
66.52  1.406  17.1
73.86  1.283  4.2
80.93  1.188  20.0

Structural model:
a = 8.8897 Å, b = 8.8897 Å, c = 8.8897 Å
α = 90.00°, β = 90.00°, γ = 90.00°
Space group Fm-3m (No. 225)
Unique sites:
Cs (0.2500, 0.2500, 0.2500) (multiplicity 8)
In (0.0000, 0.0000, 0.0000) (multiplicity 4)
Si (0.0000, 0.0000, 0.5000) (multiplicity 4)

***

(13)
For Cs2InSn, a GGA-PBE-relaxed structure gives the simulated powder diffractogram in this record (CuKα).
Intensities are scaled so that the largest is 100.

Top 10 peaks for 2θ = 10–90°, sorted by position:
2θ/deg  d_spacing  Rel. int.
23.19  3.835  70.9
23.73  3.749  29.5
24.27  3.667  43.3
24.50  3.633  47.1
26.70  3.338  100.0
27.39  3.256  95.4
31.47  2.842  50.0
42.04  2.149  25.0
44.28  2.046  31.4
45.68  1.986  24.4

Structural model:
a = 7.3340 Å, b = 9.0059 Å, c = 12.1481 Å
α = 87.60°, β = 89.91°, γ = 89.94°
Space group P-1 (No. 2)
Unique sites:
Cs (0.2483, 0.4116, 0.0906) (multiplicity 2)
Cs (0.2490, 0.4227, 0.4190) (multiplicity 2)
Cs (0.2497, 0.9065, 0.5855) (multiplicity 2)
Cs (0.2514, 0.8949, 0.9265) (multiplicity 2)
In (0.0566, 0.2487, 0.7517) (multiplicity 2)
In (0.4516, 0.2473, 0.7513) (multiplicity 2)
Sn (0.2449, 0.9506, 0.2546) (multiplicity 2)
Sn (0.2548, 0.5309, 0.7551) (multiplicity 2)

***

(14)
For CsInSn2, a GGA-PBE-relaxed structure gives the simulated powder diffractogram in this record (CuKα).
Intensities are scaled so that the largest is 100.

Top 10 peaks for 2θ = 10–90°, sorted by position:
2θ/deg  d_spacing  Rel. int.
11.23  7.877  33.4
21.39  4.153  14.6
25.95  3.433  32.4
28.36  3.147  100.0
36.90  2.436  68.0
37.16  2.420  17.4
47.18  1.926  24.8
47.49  1.914  16.0
51.14  1.786  13.7
61.36  1.511  22.7

Structural model:
a = 4.8718 Å, b = 4.8718 Å, c = 23.6308 Å
α = 90.00°, β = 90.00°, γ = 120.00°
Space group R3m (No. 160, hexagonal axes)
Unique sites:
Cs (0.0000, 0.0000, 0.0000) (multiplicity 3)
In (0.0000, 0.0000, 0.1795) (multiplicity 3)
Sn (0.0000, 0.0000, 0.5552) (multiplicity 3)
Sn (0.0000, 0.0000, 0.7948) (multiplicity 3)